Calculated X-ray diffraction stick pattern
Compound: LiCrSi2O6
Radiation: Cu Ka
Structure: a DFT-relaxed cell (GGA+U, the Materials Project)
Kinematic intensities with the Lorentz-polarization factor, no thermal factor.

Largest 10 diffraction maxima, in order of falling intensity, 2θ = 10–90°:
- 29.65 deg, intensity 100, hkl 1 2 1
- 31.21 deg, intensity 70, hkl 3 1 0
- 14.05 deg, intensity 53, hkl 1 1 0
- 20.33 deg, intensity 38, hkl 0 2 0
- 25.25 deg, intensity 35, hkl 2 1 -1
- 35.91 deg, intensity 34, hkl 2 0 -2
- 19.83 deg, intensity 33, hkl 0 1 1
- 55.86 deg, intensity 27, hkl 1 2 -3
- 37.19 deg, intensity 24, hkl 3 2 -1
- 68.70 deg, intensity 21, hkl 6 3 -1

Atomic structure:
Unit cell a=9.313 b=8.738 c=5.332 alpha=90.00 beta=102.20 gamma=90.00
Sites, in units of the cell vectors:
1 Li 0.248 0.008 0.010
2 Li 0.248 0.492 0.510
3 Li 0.752 0.508 0.490
4 Li 0.752 0.992 0.990
5 Cr 0.250 0.656 0.014
6 Cr 0.250 0.844 0.514
7 Cr 0.750 0.156 0.486
8 Cr 0.750 0.344 0.986
9 Si 0.049 0.160 0.276
10 Si 0.049 0.340 0.776
11 Si 0.451 0.160 0.704
12 Si 0.451 0.340 0.204
13 Si 0.549 0.660 0.796
14 Si 0.549 0.840 0.296
15 Si 0.951 0.660 0.224
16 Si 0.951 0.840 0.724
17 O 0.108 0.232 0.030
18 O 0.108 0.268 0.530
19 O 0.118 0.510 0.805
20 O 0.118 0.990 0.305
21 O 0.133 0.666 0.295
22 O 0.133 0.834 0.795
23 O 0.366 0.664 0.730
24 O 0.366 0.836 0.230
25 O 0.377 0.505 0.229
26 O 0.377 0.995 0.729
27 O 0.395 0.228 0.412
28 O 0.395 0.272 0.912
29 O 0.605 0.728 0.088
30 O 0.605 0.772 0.588
31 O 0.623 0.005 0.271
32 O 0.623 0.495 0.771
33 O 0.634 0.164 0.770
34 O 0.634 0.336 0.270
35 O 0.867 0.166 0.205
36 O 0.867 0.334 0.705
37 O 0.882 0.010 0.695
38 O 0.882 0.490 0.195
39 O 0.892 0.732 0.470
40 O 0.892 0.768 0.970